[1]
Diffraction record for La3Nb8O24. The XRD peak list is theoretical, not measured: it uses a DFT-relaxed cell (GGA-PBE, the Materials Project) and Cu Kα, 1.54184 Å.
Lines closer than 0.1° are merged.

Lattice parameters (Å, degrees): 8.911 8.911 8.987 113.37 113.37 53.10
Fractional positions:
1 La 0.000 0.000 0.000
2 La 0.249 0.249 0.000
3 La 0.751 0.751 0.000
4 Nb 0.066 0.558 0.741
5 Nb 0.195 0.688 0.259
6 Nb 0.312 0.805 0.741
7 Nb 0.442 0.934 0.259
8 Nb 0.558 0.066 0.741
9 Nb 0.688 0.195 0.259
10 Nb 0.805 0.312 0.741
11 Nb 0.934 0.442 0.259
12 O 0.000 0.500 0.500
13 O 0.056 0.556 0.225
14 O 0.070 0.070 0.778
15 O 0.110 0.630 0.000
16 O 0.180 0.704 0.769
17 O 0.181 0.181 0.222
18 O 0.249 0.751 0.500
19 O 0.296 0.820 0.231
20 O 0.313 0.313 0.771
21 O 0.370 0.890 0.000
22 O 0.427 0.427 0.229
23 O 0.444 0.944 0.775
24 O 0.500 0.000 0.500
25 O 0.556 0.056 0.225
26 O 0.573 0.573 0.771
27 O 0.630 0.110 0.000
28 O 0.687 0.687 0.229
29 O 0.704 0.180 0.769
30 O 0.751 0.249 0.500
31 O 0.819 0.819 0.778
32 O 0.820 0.296 0.231
33 O 0.890 0.370 0.000
34 O 0.930 0.930 0.222
35 O 0.944 0.444 0.775

The 12 most intense peaks (5° ≤ 2θ ≤ 70°), low angle first:
Position (°2θ)	intensity
10.98	466
22.07	142
22.31	293
24.93	354
31.59	1000
31.76	497
45.02	191
45.53	394
46.73	132
56.47	393
65.94	112
66.36	114

[2]
Diffraction record for LaNb8O14. The XRD peak list is theoretical, not measured: it uses a DFT-relaxed cell (GGA-PBE, the Materials Project) and Cu Kα, 1.54184 Å.
Lines closer than 0.1° are merged.

Lattice parameters (Å, degrees): 9.288 10.411 6.046 90.00 90.00 90.00
Fractional positions:
1 La 0.000 0.000 0.000
2 La 0.500 0.500 0.000
3 Nb 0.115 0.165 0.500
4 Nb 0.120 0.664 0.000
5 Nb 0.126 0.423 0.231
6 Nb 0.126 0.423 0.769
7 Nb 0.374 0.923 0.231
8 Nb 0.374 0.923 0.769
9 Nb 0.380 0.164 0.000
10 Nb 0.385 0.665 0.500
11 Nb 0.615 0.335 0.500
12 Nb 0.620 0.836 0.000
13 Nb 0.626 0.077 0.231
14 Nb 0.626 0.077 0.769
15 Nb 0.874 0.577 0.231
16 Nb 0.874 0.577 0.769
17 Nb 0.880 0.336 0.000
18 Nb 0.885 0.835 0.500
19 O 0.000 0.000 0.500
20 O 0.000 0.500 0.500
21 O 0.004 0.246 0.243
22 O 0.004 0.246 0.757
23 O 0.228 0.853 0.000
24 O 0.234 0.083 0.239
25 O 0.234 0.083 0.761
26 O 0.235 0.321 0.500
27 O 0.265 0.821 0.500
28 O 0.266 0.583 0.239
29 O 0.266 0.583 0.761
30 O 0.272 0.353 0.000
31 O 0.496 0.746 0.243
32 O 0.496 0.746 0.757
33 O 0.500 0.000 0.500
34 O 0.500 0.500 0.500
35 O 0.504 0.254 0.243
36 O 0.504 0.254 0.757
37 O 0.728 0.647 0.000
38 O 0.734 0.417 0.239
39 O 0.734 0.417 0.761
40 O 0.735 0.179 0.500
41 O 0.765 0.679 0.500
42 O 0.766 0.917 0.239
43 O 0.766 0.917 0.761
44 O 0.772 0.147 0.000
45 O 0.996 0.754 0.243
46 O 0.996 0.754 0.757

The 12 most intense peaks (5° ≤ 2θ ≤ 70°), low angle first:
Position (°2θ)	intensity
25.66	1000
30.11	422
31.24	946
32.20	385
32.31	686
33.64	344
35.68	428
44.27	315
45.41	686
45.53	353
52.73	403
61.63	458

[3]
Diffraction record for Rb2LaNb2O7. The XRD peak list is theoretical, not measured: it uses a DFT-relaxed cell (GGA-PBE, the Materials Project) and Cu Kα, 1.54184 Å.
Lines closer than 0.1° are merged.

Lattice parameters (Å, degrees): 11.712 11.712 5.772 90.00 90.00 28.54
Fractional positions:
1 Rb 0.047 0.569 0.750
2 Rb 0.431 0.953 0.750
3 Rb 0.569 0.047 0.250
4 Rb 0.953 0.431 0.250
5 La 0.238 0.762 0.750
6 La 0.762 0.238 0.250
7 Nb 0.157 0.656 0.250
8 Nb 0.344 0.843 0.250
9 Nb 0.656 0.157 0.750
10 Nb 0.843 0.344 0.750
11 O 0.087 0.087 0.000
12 O 0.087 0.087 0.500
13 O 0.094 0.554 0.250
14 O 0.200 0.800 0.250
15 O 0.427 0.427 0.000
16 O 0.427 0.427 0.500
17 O 0.446 0.906 0.250
18 O 0.554 0.094 0.750
19 O 0.573 0.573 0.000
20 O 0.573 0.573 0.500
21 O 0.800 0.200 0.750
22 O 0.906 0.446 0.750
23 O 0.913 0.913 0.000
24 O 0.913 0.913 0.500

The 12 most intense peaks (5° ≤ 2θ ≤ 70°), low angle first:
Position (°2θ)	intensity
7.79	354
29.42	1000
30.98	499
35.35	52
39.26	62
39.70	135
44.38	286
51.19	216
54.15	362
61.05	142
64.58	85
65.81	85

[4]
Diffraction record for RbLaNb2O7. The XRD peak list is theoretical, not measured: it uses a DFT-relaxed cell (GGA-PBE, the Materials Project) and Cu Kα, 1.54184 Å.
Lines closer than 0.1° are merged.

Lattice parameters (Å, degrees): 11.929 11.929 11.929 153.10 38.54 152.92
Fractional positions:
1 Rb 0.000 0.000 0.000
2 Rb 0.500 0.000 0.500
3 La 0.265 0.015 0.250
4 La 0.735 0.985 0.750
5 Nb 0.143 0.495 0.647
6 Nb 0.348 0.495 0.853
7 Nb 0.652 0.505 0.147
8 Nb 0.857 0.505 0.353
9 O 0.018 0.450 0.568
10 O 0.074 0.000 0.574
11 O 0.074 0.500 0.074
12 O 0.318 0.568 0.750
13 O 0.382 0.450 0.932
14 O 0.406 0.000 0.906
15 O 0.406 0.500 0.406
16 O 0.594 0.000 0.094
17 O 0.594 0.500 0.594
18 O 0.618 0.550 0.068
19 O 0.682 0.432 0.250
20 O 0.926 0.000 0.426
21 O 0.926 0.500 0.926
22 O 0.982 0.550 0.432

The 12 most intense peaks (5° ≤ 2θ ≤ 70°), low angle first:
Position (°2θ)	intensity
7.85	542
27.65	1000
31.79	86
32.05	181
32.26	188
32.98	107
45.77	88
45.92	89
46.12	223
54.48	150
54.76	146
57.10	68